The following is a calculated XRD peak list of MgVAs2O7. It was derived from DFT lattice parameters and positions (GGA+U), using Cu Kα.

Structure:
```
44
Lattice="7.869 0.000 0.000 0.000 8.175 0.000 -5.686 0.000 9.199" Properties=species:S:1:pos:R:3 pbc="T T T"
Mg 1.143 0.604 1.086
Mg -1.700 3.484 5.685
Mg 3.883 4.691 3.514
Mg 1.040 7.571 8.114
V -1.531 0.421 6.467
V 1.312 3.667 1.868
V 0.871 4.508 7.332
V 3.714 7.754 2.732
As -3.884 5.873 6.748
As -1.041 6.390 2.148
As 3.441 5.868 0.285
As 0.598 6.395 4.884
As 1.586 1.780 4.315
As -1.257 2.307 8.915
As 3.225 1.785 7.051
As 6.068 2.302 2.451
O -3.320 4.699 5.640
O -0.477 7.564 1.040
O -0.130 4.940 2.007
O -2.973 7.323 6.607
O -3.747 5.396 8.429
O -0.904 6.867 3.829
O -2.940 1.975 7.142
O -0.097 2.113 2.542
O -1.198 1.551 5.266
O 1.645 2.537 0.666
O -0.036 4.830 5.647
O 2.807 7.432 1.047
O 2.886 4.804 1.629
O 0.044 7.459 6.229
O 2.140 0.716 2.971
O -0.703 3.371 7.570
O -0.623 0.743 8.152
O 2.220 3.345 3.552
O 0.539 5.638 8.533
O 3.381 6.624 3.934
O 2.281 6.062 6.657
O 5.124 6.200 2.058
O 3.088 1.308 5.370
O 5.931 2.779 0.770
O 5.156 0.852 2.593
O 2.313 3.235 7.192
O 2.661 0.611 8.159
O 5.504 3.476 3.560
```

Principal peaks in the range 2θ from 10° to 90°, sorted by position:
hkl	d (Å)	intensity
1 0 -2	5.313	15
0 2 0	4.087	23
1 1 1	3.887	15
2 1 -2	3.467	92
1 2 -2	3.240	100
1 0 2	3.105	52
3 0 -2	2.617	15
2 2 0	2.590	22
1 1 -4	2.515	18
1 2 2	2.472	20
3 1 0	2.153	20
3 3 -4	1.769	22